Computed X-ray powder pattern
Compound: P3Pb5O13
Radiation: a wavelength of 1.5418 Å
Structure: a structure optimized by DFT (GGA-PBE)
Intensities are scaled so that the largest is 100.

Structural model:
Lattice parameters (Å, degrees): 9.8779 9.8779 7.2997 90.00 90.00 120.00
Space group P6_3/m (No. 176)
Asymmetric unit:
P: 0.0233 0.4051 0.2500 x6
Pb: 0.0098 0.7812 0.2500 x6
Pb: 0.3333 0.6667 0.5017 x4
O: 0.0000 0.0000 0.0000 x2
O: 0.0833 0.3551 0.0792 x12
O: 0.0997 0.5870 0.2500 x6
O: 0.1577 0.6760 0.7500 x6

Main lines, by angle (5 to 70 degrees two-theta):
20.77°, I = 26, hkl 2 0 0
26.55°, I = 48, hkl 1 0 2
27.59°, I = 48, hkl 2 1 0
30.23°, I = 100, hkl 1 2 1
30.45°, I = 68, hkl 1 1 2
31.37°, I = 24, hkl 3 0 0
44.29°, I = 36, hkl 2 2 2
46.72°, I = 32, hkl 1 2 3
48.78°, I = 35, hkl 4 1 0
49.39°, I = 27, hkl 4 0 2